Structure and theoretical XRD peak list of Na2TmMnO4 (a PBE+U-relaxed structure; Cu Kα).

Crystal structure
```
16
Lattice="4.545 -4.501 0.000 4.545 4.501 0.000 -4.493 0.000 4.862" Properties=species:S:1:pos:R:3 pbc="T T T"
Na 0.000 0.000 0.000
Na -2.246 0.000 2.431
Na 2.272 2.251 0.000
Na 0.026 -2.251 2.431
Tm 0.026 2.251 2.431
Tm 2.272 -2.251 0.000
Mn 4.545 0.000 0.000
Mn 2.298 0.000 2.431
O 0.107 2.025 4.691
O 0.312 0.055 2.372
O -1.934 -0.055 4.803
O 2.243 2.025 2.602
O 2.353 -2.025 2.260
O 6.531 0.055 0.059
O 4.284 -0.055 2.490
O 4.490 -2.025 0.171
```

Largest 6 diffraction maxima, sorted by position, 15° ≤ 2θ ≤ 90°:
16.65 deg, d 5.325, rel. 100; 33.42 deg, d 2.681, rel. 36; 33.66 deg, d 2.663, rel. 36; 36.98 deg, d 2.431, rel. 35; 39.67 deg, d 2.272, rel. 27; 55.66 deg, d 1.651, rel. 28